For BaAc2Tl3Se6, DFT lattice parameters and positions (GGA-PBE) gives the calculated powder diffraction line list in this record (a wavelength of 1.5418 Å).

Atomic structure:
a = 10.323 Å, b = 10.323 Å, c = 9.209 Å
α = 101.84°, β = 101.84°, γ = 25.68°
Sites, in units of the cell vectors:
Ba 0.000 0.000 0.000
Ac 0.332 0.332 0.665
Ac 0.668 0.668 0.335
Tl 0.000 0.000 0.500
Tl 0.332 0.332 0.164
Tl 0.668 0.668 0.836
Se 0.166 0.166 0.108
Se 0.172 0.172 0.570
Se 0.490 0.490 0.738
Se 0.510 0.510 0.262
Se 0.828 0.828 0.430
Se 0.834 0.834 0.892

Largest 12 diffraction maxima, sorted by position, 2θ from 15° to 90°:
2θ 23.40, rel. 133
2θ 23.67, rel. 251
2θ 23.82, rel. 128
2θ 27.19, rel. 509
2θ 27.45, rel. 1000
2θ 38.75, rel. 395
2θ 39.13, rel. 187
2θ 39.28, rel. 575
2θ 46.00, rel. 106
2θ 47.85, rel. 104
2θ 48.43, rel. 212
2θ 56.65, rel. 129

=====

For Sm5Ru2Au, DFT lattice parameters and positions (GGA-PBE) gives the calculated powder diffraction line list in this record (a wavelength of 1.5418 Å).

Atomic structure:
a = 8.719 Å, b = 8.719 Å, c = 8.719 Å
α = 126.82°, β = 126.82°, γ = 78.55°
Sites, in units of the cell vectors:
Sm 0.000 0.000 0.000
Sm 0.025 0.525 0.823
Sm 0.202 0.025 0.500
Sm 0.298 0.798 0.823
Sm 0.475 0.298 0.500
Sm 0.500 0.500 0.000
Sm 0.525 0.702 0.500
Sm 0.702 0.202 0.177
Sm 0.798 0.975 0.500
Sm 0.975 0.475 0.177
Ru 0.140 0.360 0.500
Ru 0.360 0.860 0.219
Ru 0.640 0.140 0.781
Ru 0.860 0.640 0.500
Au 0.250 0.250 0.000
Au 0.750 0.750 0.000

Largest 12 diffraction maxima, sorted by position, 2θ from 15° to 90°:
2θ 26.37, rel. 105
2θ 31.06, rel. 291
2θ 32.46, rel. 1000
2θ 35.15, rel. 373
2θ 36.40, rel. 642
2θ 42.31, rel. 215
2θ 52.43, rel. 229
2θ 54.34, rel. 246
2θ 57.01, rel. 173
2θ 67.18, rel. 276
2θ 67.94, rel. 177
2θ 83.38, rel. 91

=====

For Ir4Pt5, DFT lattice parameters and positions (GGA-PBE) gives the calculated powder diffraction line list in this record (a wavelength of 1.5418 Å).

Atomic structure:
a = 6.222 Å, b = 6.222 Å, c = 6.222 Å
α = 95.70°, β = 95.70°, γ = 143.28°
Sites, in units of the cell vectors:
Ir 0.000 0.342 0.342
Ir 0.000 0.658 0.658
Ir 0.342 0.000 0.342
Ir 0.658 0.000 0.658
Pt 0.000 0.000 0.000
Pt 0.332 0.332 0.664
Pt 0.332 0.668 0.000
Pt 0.668 0.332 0.000
Pt 0.668 0.668 0.336

Largest 8 diffraction maxima, sorted by position, 2θ from 15° to 90°:
2θ 39.71, rel. 1000
2θ 46.11, rel. 327
2θ 46.32, rel. 163
2θ 67.26, rel. 106
2θ 67.43, rel. 213
2θ 81.04, rel. 255
2θ 81.34, rel. 129
2θ 85.58, rel. 114

=====

For Ac6GaIr2Cl3, DFT lattice parameters and positions (GGA-PBE) gives the calculated powder diffraction line list in this record (a wavelength of 1.5418 Å).

Atomic structure:
a = 10.422 Å, b = 10.422 Å, c = 9.421 Å
α = 107.00°, β = 107.00°, γ = 24.27°
Sites, in units of the cell vectors:
Ac 0.016 0.016 0.250
Ac 0.320 0.320 0.440
Ac 0.338 0.338 0.881
Ac 0.662 0.662 0.119
Ac 0.680 0.680 0.560
Ac 0.984 0.984 0.750
Ga 0.500 0.500 0.000
Ir 0.168 0.168 0.339
Ir 0.832 0.832 0.661
Cl 0.163 0.163 0.846
Cl 0.500 0.500 0.500
Cl 0.837 0.837 0.154

Largest 12 diffraction maxima, sorted by position, 2θ from 15° to 90°:
2θ 24.17, rel. 109
2θ 24.52, rel. 216
2θ 27.52, rel. 482
2θ 27.84, rel. 1000
2θ 35.25, rel. 118
2θ 35.50, rel. 209
2θ 38.31, rel. 166
2θ 38.54, rel. 304
2θ 40.53, rel. 370
2θ 41.21, rel. 200
2θ 48.63, rel. 159
2θ 50.27, rel. 187

=====

For Sb, DFT lattice parameters and positions (GGA-PBE) gives the calculated powder diffraction line list in this record (a wavelength of 1.5418 Å).

Atomic structure:
a = 8.580 Å, b = 8.580 Å, c = 8.580 Å
α = 151.51°, β = 53.64°, γ = 135.56°
Sites, in units of the cell vectors:
Sb 0.000 0.000 0.000
Sb 0.123 0.921 0.202
Sb 0.313 0.482 0.832
Sb 0.650 0.482 0.168
Sb 0.691 0.191 0.500
Sb 0.719 0.921 0.798

Largest 12 diffraction maxima, sorted by position, 2θ from 15° to 90°:
2θ 21.84, rel. 228
2θ 27.44, rel. 1000
2θ 27.77, rel. 345
2θ 29.91, rel. 329
2θ 32.32, rel. 163
2θ 34.51, rel. 491
2θ 35.16, rel. 270
2θ 35.38, rel. 587
2θ 36.23, rel. 239
2θ 42.84, rel. 277
2θ 45.54, rel. 226
2θ 46.07, rel. 543

=====

For Li2NbP5O15, DFT lattice parameters and positions (GGA-PBE) gives the calculated powder diffraction line list in this record (a wavelength of 1.5418 Å).

Atomic structure:
a = 5.353 Å, b = 14.771 Å, c = 8.263 Å
α = 90.00°, β = 100.21°, γ = 90.00°
Sites, in units of the cell vectors:
Li 0.190 0.154 0.159
Li 0.190 0.346 0.159
Li 0.810 0.654 0.841
Li 0.810 0.846 0.841
Nb 0.500 0.000 0.500
Nb 0.500 0.500 0.500
P 0.039 0.148 0.522
P 0.039 0.352 0.522
P 0.357 0.750 0.975
P 0.364 0.098 0.842
P 0.364 0.402 0.842
P 0.636 0.598 0.158
P 0.636 0.902 0.158
P 0.643 0.250 0.025
P 0.961 0.648 0.478
P 0.961 0.852 0.478
O 0.044 0.750 0.527
O 0.082 0.750 0.899
O 0.180 0.160 0.706
O 0.180 0.340 0.706
O 0.201 0.595 0.483
O 0.201 0.905 0.483
O 0.219 0.115 0.412
O 0.219 0.385 0.412
O 0.229 0.076 0.978
O 0.229 0.424 0.978
O 0.400 0.666 0.103
O 0.400 0.834 0.103
O 0.445 0.250 0.133
O 0.465 0.023 0.746
O 0.465 0.477 0.746
O 0.535 0.523 0.254
O 0.535 0.977 0.254
O 0.555 0.750 0.867
O 0.600 0.166 0.897
O 0.600 0.334 0.897
O 0.771 0.576 0.022
O 0.771 0.924 0.022
O 0.781 0.615 0.588
O 0.781 0.885 0.588
O 0.799 0.095 0.517
O 0.799 0.405 0.517
O 0.820 0.660 0.294
O 0.820 0.840 0.294
O 0.918 0.250 0.101
O 0.956 0.250 0.473

Largest 12 diffraction maxima, sorted by position, 2θ from 15° to 90°:
2θ 16.21, rel. 901
2θ 16.83, rel. 318
2θ 18.37, rel. 330
2θ 20.71, rel. 777
2θ 21.09, rel. 350
2θ 21.86, rel. 710
2θ 21.99, rel. 661
2θ 24.80, rel. 1000
2θ 25.90, rel. 278
2θ 28.32, rel. 300
2θ 29.54, rel. 392
2θ 30.47, rel. 372

=====

For Au4C5, DFT lattice parameters and positions (GGA-PBE) gives the calculated powder diffraction line list in this record (a wavelength of 1.5418 Å).

Atomic structure:
a = 7.175 Å, b = 7.175 Å, c = 7.175 Å
α = 91.92°, β = 91.92°, γ = 158.91°
Sites, in units of the cell vectors:
Au 0.000 0.225 0.225
Au 0.000 0.775 0.775
Au 0.225 0.000 0.225
Au 0.775 0.000 0.775
C 0.000 0.000 0.000
C 0.227 0.227 0.453
C 0.227 0.773 0.000
C 0.773 0.227 0.000
C 0.773 0.773 0.547

Largest 12 diffraction maxima, sorted by position, 2θ from 15° to 90°:
2θ 25.25, rel. 1000
2θ 35.34, rel. 397
2θ 36.01, rel. 488
2θ 39.83, rel. 247
2θ 46.41, rel. 104
2θ 47.75, rel. 434
2θ 51.35, rel. 194
2θ 51.85, rel. 137
2θ 58.06, rel. 230
2θ 58.52, rel. 143
2θ 70.25, rel. 192
2θ 78.78, rel. 178

=====

For PrBe2Ir2, DFT lattice parameters and positions (GGA-PBE) gives the calculated powder diffraction line list in this record (a wavelength of 1.5418 Å).

Atomic structure:
a = 7.914 Å, b = 6.787 Å, c = 5.620 Å
α = 78.64°, β = 57.23°, γ = 44.13°
Sites, in units of the cell vectors:
Pr 0.125 0.125 0.125
Pr 0.875 0.875 0.875
Be 0.194 0.556 0.194
Be 0.444 0.806 0.444
Be 0.556 0.194 0.556
Be 0.806 0.444 0.806
Ir 0.256 0.256 0.494
Ir 0.494 0.494 0.256
Ir 0.506 0.506 0.744
Ir 0.744 0.744 0.506

Largest 12 diffraction maxima, sorted by position, 2θ from 15° to 90°:
2θ 19.88, rel. 335
2θ 23.10, rel. 313
2θ 28.51, rel. 1000
2θ 28.75, rel. 167
2θ 36.63, rel. 499
2θ 37.59, rel. 910
2θ 38.74, rel. 486
2θ 40.94, rel. 551
2θ 48.00, rel. 202
2θ 48.95, rel. 355
2θ 66.59, rel. 185
2θ 72.59, rel. 253